Starting from a crystal structure in Alexandria, relaxed with GGA-PBE, the X-ray diffraction stick pattern of LiNiIr2 was calculated for λ = 1.5418 Å (Cu Kα).
Peak positions follow from Bragg's law for the DFT cell and can differ from measured ones.

Atomic structure:
```
data_LiNiIr2
_chemical_formula_sum 'Li2 Ni2 Ir4'
_symmetry_space_group_name_H-M 'I -4 m 2'
_symmetry_Int_Tables_number 119
_symmetry_space_group_name_Hall 'I -4 -2'
_cell_length_a 3.709
_cell_length_b 3.709
_cell_length_c 7.413
_cell_angle_alpha 90.00
_cell_angle_beta 90.00
_cell_angle_gamma 90.00
loop_
_atom_site_label
_atom_site_type_symbol
_atom_site_fract_x
_atom_site_fract_y
_atom_site_fract_z
Li1 Li 0.000 0.000 0.000
Ni1 Ni 0.000 0.500 0.750
Ir1 Ir 0.000 0.000 0.500
Ir2 Ir 0.000 0.500 0.250
```

The 6 most intense peaks (10 to 90 degrees two-theta), low angle first:
2theta	I (rel.)
26.9	80
42.2	100
44.0	22
49.1	48
72.0	31
87.2	38